[1]
The following is a simulated X-ray diffraction stick pattern of Hf4TiAl3. It was derived from a crystal structure in Alexandria, relaxed with PBE, using copper Kα.
Peak positions follow from Bragg's law for the DFT cell and can differ from measured ones.

Structural model:
```
data_Hf4TiAl3
_symmetry_space_group_name_H-M 'P m m a'
_symmetry_Int_Tables_number 51
_symmetry_space_group_name_Hall '-P 2a 2a'
_cell_length_a 9.8131
_cell_length_b 6.1066
_cell_length_c 5.1039
_cell_angle_alpha 90.00
_cell_angle_beta 90.00
_cell_angle_gamma 90.00
loop_
_atom_site_label
_atom_site_type_symbol
_atom_site_fract_x
_atom_site_fract_y
_atom_site_fract_z
Hf1 Hf 0.0000 0.2471 0.0000
Hf2 Hf 0.2500 0.2489 0.3628
Ti1 Ti 0.0000 0.0000 0.5000
Al1 Al 0.0000 0.5000 0.5000
Al2 Al 0.2500 0.0000 0.8465
Al3 Al 0.2500 0.5000 0.8537
```

Peak list (10 most intense, 2θ from 10° to 90°, by angle)
hkl 1 0 1, d 4.528, I 293
hkl 2 0 1, d 3.537, I 734
hkl 0 2 0, d 3.053, I 373
hkl 1 2 1, d 2.532, I 266
hkl 1 0 2, d 2.470, I 204
hkl 4 0 0, d 2.453, I 436
hkl 2 2 1, d 2.311, I 1000
hkl 2 0 2, d 2.264, I 246
hkl 4 2 0, d 1.912, I 203
hkl 6 2 1, d 1.387, I 236


[2]
The following is a simulated X-ray diffraction stick pattern of Pa2ZnGe3Ir6. It was derived from a crystal structure in Alexandria, relaxed with PBE, using copper Kα.
Peak positions follow from Bragg's law for the DFT cell and can differ from measured ones.

Structural model:
```
data_Pa2ZnGe3Ir6
_symmetry_space_group_name_H-M 'P 4/m m m'
_symmetry_Int_Tables_number 123
_symmetry_space_group_name_Hall '-P 4 2'
_cell_length_a 4.0066
_cell_length_b 4.0066
_cell_length_c 15.3849
_cell_angle_alpha 90.00
_cell_angle_beta 90.00
_cell_angle_gamma 90.00
loop_
_atom_site_label
_atom_site_type_symbol
_atom_site_fract_x
_atom_site_fract_y
_atom_site_fract_z
Pa1 Pa 0.0000 0.0000 0.2291
Zn1 Zn 0.0000 0.0000 0.5000
Ge1 Ge 0.5000 0.5000 0.0000
Ge2 Ge 0.5000 0.5000 0.3101
Ir1 Ir 0.0000 0.5000 0.3950
Ir2 Ir 0.5000 0.5000 0.1540
```

Peak list (10 most intense, 2θ from 10° to 90°, by angle)
hkl 0 0 2, d 7.692, I 455
hkl 0 0 5, d 3.077, I 402
hkl 1 1 1, d 2.786, I 963
hkl 1 0 4, d 2.775, I 617
hkl 1 1 2, d 2.659, I 659
hkl 1 1 3, d 2.480, I 512
hkl 1 1 4, d 2.281, I 710
hkl 1 0 6, d 2.160, I 402
hkl 2 0 0, d 2.003, I 1000
hkl 1 0 7, d 1.927, I 416


[3]
The following is a simulated X-ray diffraction stick pattern of Ca4PaPd5. It was derived from a crystal structure in Alexandria, relaxed with PBE, using copper Kα.
Peak positions follow from Bragg's law for the DFT cell and can differ from measured ones.

Structural model:
```
data_Ca4PaPd5
_symmetry_space_group_name_H-M 'P 4/m m m'
_symmetry_Int_Tables_number 123
_symmetry_space_group_name_Hall '-P 4 2'
_cell_length_a 3.5363
_cell_length_b 3.5363
_cell_length_c 17.8647
_cell_angle_alpha 90.00
_cell_angle_beta 90.00
_cell_angle_gamma 90.00
loop_
_atom_site_label
_atom_site_type_symbol
_atom_site_fract_x
_atom_site_fract_y
_atom_site_fract_z
Ca1 Ca 0.0000 0.0000 0.0980
Ca2 Ca 0.0000 0.0000 0.2945
Pa1 Pa 0.0000 0.0000 0.5000
Pd1 Pd 0.5000 0.5000 0.0000
Pd2 Pd 0.5000 0.5000 0.1967
Pd3 Pd 0.5000 0.5000 0.4122
```

Peak list (10 most intense, 2θ from 10° to 90°, by angle)
hkl 0 0 3, d 5.955, I 140
hkl 1 0 1, d 3.469, I 82
hkl 1 0 5, d 2.513, I 1000
hkl 1 1 0, d 2.501, I 513
hkl 0 0 10, d 1.786, I 80
hkl 2 0 0, d 1.768, I 177
hkl 1 1 10, d 1.454, I 157
hkl 2 1 5, d 1.446, I 345
hkl 2 0 10, d 1.257, I 95
hkl 3 1 0, d 1.118, I 79


[4]
The following is a simulated X-ray diffraction stick pattern of Ag4PdAu5. It was derived from a crystal structure in Alexandria, relaxed with PBE, using copper Kα.
Peak positions follow from Bragg's law for the DFT cell and can differ from measured ones.

Structural model:
```
data_Ag4PdAu5
_symmetry_space_group_name_H-M 'P -1'
_symmetry_Int_Tables_number 2
_symmetry_space_group_name_Hall '-P 1'
_cell_length_a 5.0623
_cell_length_b 5.0698
_cell_length_c 7.6862
_cell_angle_alpha 71.26
_cell_angle_beta 71.01
_cell_angle_gamma 81.29
loop_
_atom_site_label
_atom_site_type_symbol
_atom_site_fract_x
_atom_site_fract_y
_atom_site_fract_z
Ag1 Ag 0.0997 0.0022 0.2983
Ag2 Ag 0.2967 0.9998 0.9015
Pd1 Pd 0.0000 0.5000 0.0000
Au1 Au 0.1977 0.4996 0.6035
Au2 Au 0.4010 0.5010 0.1968
Au3 Au 0.5000 0.0000 0.5000
```

Peak list (10 most intense, 2θ from 10° to 90°, by angle)
hkl 0 2 0, d 2.397, I 512
hkl -1 1 2, d 2.389, I 506
hkl 2 1 1, d 2.378, I 1000
hkl 2 -1 1, d 2.084, I 342
hkl 1 2 3, d 2.057, I 651
hkl 3 1 4, d 1.456, I 213
hkl 1 4 3, d 1.245, I 128
hkl 0 3 5, d 1.243, I 127
hkl 3 2 -1, d 1.241, I 127
hkl 3 3 4, d 1.238, I 125


[5]
The following is a simulated X-ray diffraction stick pattern of La3Zn8Ga3. It was derived from a crystal structure in Alexandria, relaxed with PBE, using copper Kα.
Peak positions follow from Bragg's law for the DFT cell and can differ from measured ones.

Structural model:
```
data_La3Zn8Ga3
_symmetry_space_group_name_H-M 'I m m m'
_symmetry_Int_Tables_number 71
_symmetry_space_group_name_Hall '-I 2 2'
_cell_length_a 4.4921
_cell_length_b 9.5746
_cell_length_c 13.1335
_cell_angle_alpha 90.00
_cell_angle_beta 90.00
_cell_angle_gamma 90.00
loop_
_atom_site_label
_atom_site_type_symbol
_atom_site_fract_x
_atom_site_fract_y
_atom_site_fract_z
La1 La 0.0000 0.0000 0.0000
La2 La 0.0000 0.0000 0.3114
Zn1 Zn 0.0000 0.2715 0.1442
Zn2 Zn 0.0000 0.3672 0.3376
Ga1 Ga 0.0000 0.2175 0.5000
Ga2 Ga 0.0000 0.5000 0.0000
```

Peak list (10 most intense, 2θ from 10° to 90°, by angle)
hkl 1 0 3, d 3.135, I 137
hkl 1 2 3, d 2.623, I 1000
hkl 1 3 0, d 2.602, I 257
hkl 0 3 3, d 2.579, I 195
hkl 1 3 2, d 2.419, I 144
hkl 2 0 0, d 2.246, I 361
hkl 0 0 6, d 2.189, I 227
hkl 2 0 6, d 1.568, I 153
hkl 1 6 3, d 1.422, I 140
hkl 3 2 3, d 1.359, I 123


[6]
The following is a simulated X-ray diffraction stick pattern of NaHfTaO6. It was derived from a crystal structure in Alexandria, relaxed with PBE, using copper Kα.
Peak positions follow from Bragg's law for the DFT cell and can differ from measured ones.

Structural model:
```
data_NaHfTaO6
_symmetry_space_group_name_H-M 'P 3 1 2'
_symmetry_Int_Tables_number 149
_symmetry_space_group_name_Hall 'P 3 2'
_cell_length_a 5.4703
_cell_length_b 5.4703
_cell_length_c 4.6634
_cell_angle_alpha 90.00
_cell_angle_beta 90.00
_cell_angle_gamma 120.00
loop_
_atom_site_label
_atom_site_type_symbol
_atom_site_fract_x
_atom_site_fract_y
_atom_site_fract_z
Na1 Na 0.0000 0.0000 0.0000
Hf1 Hf 0.6667 0.3333 0.5000
Ta1 Ta 0.3333 0.6667 0.0000
O1 O 0.0063 0.4026 0.2402
```

Peak list (10 most intense, 2θ from 10° to 90°, by angle)
hkl 1 0 0, d 4.737, I 382
hkl 1 0 1, d 3.323, I 1000
hkl 1 1 0, d 2.735, I 354
hkl 2 0 1, d 2.112, I 289
hkl 2 -1 2, d 1.774, I 308
hkl 3 -1 1, d 1.672, I 284
hkl 3 0 0, d 1.579, I 109
hkl 1 0 3, d 1.477, I 93
hkl 4 -1 1, d 1.265, I 115
hkl 2 1 3, d 1.174, I 90


[7]
The following is a simulated X-ray diffraction stick pattern of Nd2ScGa2Rh5. It was derived from a crystal structure in Alexandria, relaxed with PBE, using copper Kα.
Peak positions follow from Bragg's law for the DFT cell and can differ from measured ones.

Structural model:
```
data_Nd2ScGa2Rh5
_symmetry_space_group_name_H-M 'P 4/m b m'
_symmetry_Int_Tables_number 127
_symmetry_space_group_name_Hall '-P 4 2ab'
_cell_length_a 10.1233
_cell_length_b 10.1233
_cell_length_c 3.5464
_cell_angle_alpha 90.00
_cell_angle_beta 90.00
_cell_angle_gamma 90.00
loop_
_atom_site_label
_atom_site_type_symbol
_atom_site_fract_x
_atom_site_fract_y
_atom_site_fract_z
Nd1 Nd 0.1743 0.3257 0.0000
Sc1 Sc 0.0000 0.0000 0.0000
Ga1 Ga 0.1232 0.6232 0.0000
Rh1 Rh 0.0000 0.5000 0.5000
Rh2 Rh 0.0673 0.7915 0.5000
```

Peak list (10 most intense, 2θ from 10° to 90°, by angle)
hkl 2 1 1, d 2.792, I 328
hkl 2 2 1, d 2.519, I 207
hkl 4 1 0, d 2.455, I 679
hkl 3 3 0, d 2.386, I 285
hkl 3 1 1, d 2.376, I 1000
hkl 4 2 0, d 2.264, I 167
hkl 3 2 1, d 2.201, I 448
hkl 4 0 1, d 2.060, I 215
hkl 0 0 2, d 1.773, I 231
hkl 4 1 2, d 1.438, I 250


[8]
The following is a simulated X-ray diffraction stick pattern of Cd2In5Bi2. It was derived from a crystal structure in Alexandria, relaxed with PBE, using copper Kα.
Peak positions follow from Bragg's law for the DFT cell and can differ from measured ones.

Structural model:
```
data_Cd2In5Bi2
_symmetry_space_group_name_H-M 'C 1 2/m 1'
_symmetry_Int_Tables_number 12
_symmetry_space_group_name_Hall '-C 2y'
_cell_length_a 11.6070
_cell_length_b 4.8364
_cell_length_c 9.5120
_cell_angle_alpha 90.00
_cell_angle_beta 98.13
_cell_angle_gamma 90.00
loop_
_atom_site_label
_atom_site_type_symbol
_atom_site_fract_x
_atom_site_fract_y
_atom_site_fract_z
Cd1 Cd 0.2147 0.0000 0.4142
In1 In 0.0000 0.0000 0.0000
In2 In 0.0713 0.0000 0.6647
In3 In 0.1113 0.5000 0.2243
Bi1 Bi 0.1853 0.5000 0.8802
```

Peak list (10 most intense, 2θ from 10° to 90°, by angle)
hkl 1 1 1, d 3.946, I 204
hkl 1 1 -2, d 3.330, I 234
hkl 3 1 0, d 3.003, I 290
hkl 3 1 1, d 2.773, I 1000
hkl 1 1 -3, d 2.635, I 975
hkl 4 0 -2, d 2.623, I 521
hkl 2 0 3, d 2.604, I 201
hkl 0 2 0, d 2.418, I 452
hkl 4 2 -2, d 1.778, I 324
hkl 3 3 1, d 1.455, I 228


[9]
The following is a simulated X-ray diffraction stick pattern of Si6Sb7. It was derived from a crystal structure in Alexandria, relaxed with PBE, using copper Kα.
Peak positions follow from Bragg's law for the DFT cell and can differ from measured ones.

Structural model:
```
data_Si6Sb7
_symmetry_space_group_name_H-M 'R -3 m'
_symmetry_Int_Tables_number 166
_symmetry_space_group_name_Hall '-R 3 2"'
_cell_length_a 7.1567
_cell_length_b 7.1567
_cell_length_c 23.9092
_cell_angle_alpha 90.00
_cell_angle_beta 90.00
_cell_angle_gamma 120.00
loop_
_atom_site_label
_atom_site_type_symbol
_atom_site_fract_x
_atom_site_fract_y
_atom_site_fract_z
Si1 Si 0.0000 0.0000 0.0796
Si2 Si 0.0000 0.0000 0.1786
Si3 Si 0.0000 0.0000 0.3341
Sb1 Sb 0.0000 0.0000 0.5000
Sb2 Sb 0.0135 0.5067 0.9205
```

Peak list (10 most intense, 2θ from 10° to 90°, by angle)
hkl 1 0 1, d 6.000, I 1000
hkl 0 0 6, d 3.985, I 542
hkl 0 2 1, d 3.073, I 889
hkl 2 0 2, d 3.000, I 607
hkl 1 1 6, d 2.662, I 693
hkl 2 0 5, d 2.601, I 952
hkl 2 1 1, d 2.331, I 278
hkl 0 2 7, d 2.295, I 977
hkl 2 2 0, d 1.789, I 581
hkl 2 2 12, d 1.331, I 388


[10]
The following is a simulated X-ray diffraction stick pattern of CaH2PbF8. It was derived from a crystal structure in Alexandria, relaxed with PBE, using copper Kα.
Peak positions follow from Bragg's law for the DFT cell and can differ from measured ones.

Structural model:
```
data_CaH2PbF8
_symmetry_space_group_name_H-M 'P -1'
_symmetry_Int_Tables_number 2
_symmetry_space_group_name_Hall '-P 1'
_cell_length_a 3.7158
_cell_length_b 5.4560
_cell_length_c 8.1751
_cell_angle_alpha 99.81
_cell_angle_beta 90.09
_cell_angle_gamma 109.12
loop_
_atom_site_label
_atom_site_type_symbol
_atom_site_fract_x
_atom_site_fract_y
_atom_site_fract_z
Ca1 Ca 0.0000 0.0000 0.0000
H1 H 0.2554 0.5071 0.8563
Pb1 Pb 0.0000 0.0000 0.5000
F1 F 0.0977 0.2003 0.3064
F2 F 0.1459 0.2975 0.8051
F3 F 0.3726 0.7363 0.9297
F4 F 0.3840 0.7611 0.4348
```

Peak list (10 most intense, 2θ from 10° to 90°, by angle)
hkl 0 0 1, d 8.040, I 1000
hkl 0 1 0, d 5.070, I 923
hkl 0 1 -1, d 4.688, I 395
hkl 0 0 2, d 4.020, I 511
hkl 0 1 1, d 3.976, I 277
hkl 1 0 0, d 3.504, I 394
hkl 0 1 -2, d 3.472, I 813
hkl 0 1 2, d 2.905, I 224
hkl 1 0 2, d 2.566, I 228
hkl 0 1 -4, d 1.997, I 415


[11]
The following is a simulated X-ray diffraction stick pattern of BrO2. It was derived from a crystal structure in Alexandria, relaxed with PBE, using copper Kα.
Peak positions follow from Bragg's law for the DFT cell and can differ from measured ones.

Structural model:
```
data_BrO2
_symmetry_space_group_name_H-M 'P 1'
_symmetry_Int_Tables_number 1
_symmetry_space_group_name_Hall 'P 1'
_cell_length_a 4.3933
_cell_length_b 4.4885
_cell_length_c 7.1306
_cell_angle_alpha 94.04
_cell_angle_beta 102.90
_cell_angle_gamma 100.98
loop_
_atom_site_label
_atom_site_type_symbol
_atom_site_fract_x
_atom_site_fract_y
_atom_site_fract_z
Br1 Br 0.0000 0.0000 0.0000
Br2 Br 0.4186 0.7039 0.4200
O1 O 0.1185 0.3659 0.0988
O2 O 0.6049 0.8893 0.9475
O3 O 0.6385 0.0793 0.6229
O4 O 0.9415 0.1224 0.6851
```

Peak list (10 most intense, 2θ from 10° to 90°, by angle)
hkl 0 1 0, d 4.376, I 376
hkl 1 0 -1, d 4.037, I 1000
hkl 0 1 -1, d 3.910, I 329
hkl 0 1 1, d 3.513, I 351
hkl 0 0 2, d 3.451, I 356
hkl 1 -1 0, d 3.407, I 390
hkl 1 0 1, d 3.248, I 201
hkl 1 -1 1, d 2.935, I 225
hkl 0 1 -2, d 2.880, I 407
hkl 0 2 1, d 2.018, I 265


[12]
The following is a simulated X-ray diffraction stick pattern of YHo2Zn2In2. It was derived from a crystal structure in Alexandria, relaxed with PBE, using copper Kα.
Peak positions follow from Bragg's law for the DFT cell and can differ from measured ones.

Structural model:
```
data_YHo2Zn2In2
_symmetry_space_group_name_H-M 'R -3 m'
_symmetry_Int_Tables_number 166
_symmetry_space_group_name_Hall '-R 3 2"'
_cell_length_a 4.6989
_cell_length_b 4.6989
_cell_length_c 27.0925
_cell_angle_alpha 90.00
_cell_angle_beta 90.00
_cell_angle_gamma 120.00
loop_
_atom_site_label
_atom_site_type_symbol
_atom_site_fract_x
_atom_site_fract_y
_atom_site_fract_z
Y1 Y 0.0000 0.0000 0.0000
Ho1 Ho 0.0000 0.0000 0.1278
Zn1 Zn 0.0000 0.0000 0.3979
In1 In 0.0000 0.0000 0.2621
```

Peak list (10 most intense, 2θ from 10° to 90°, by angle)
hkl 1 0 1, d 4.024, I 224
hkl 1 0 7, d 2.804, I 647
hkl 0 1 8, d 2.603, I 937
hkl 1 1 0, d 2.349, I 1000
hkl 0 2 7, d 1.801, I 174
hkl 2 0 8, d 1.744, I 279
hkl 1 1 15, d 1.432, I 341
hkl 2 1 7, d 1.429, I 161
hkl 1 2 8, d 1.400, I 267
hkl 3 0 0, d 1.356, I 169